Simulated PXRD pattern
Compound: RbPuV2O8
Radiation: copper Kα
Structure: a crystal structure in Alexandria, relaxed with GGA+U
Lines closer than 0.1° are merged.

Atomic structure:
Lattice parameters (Å, degrees): 5.630 5.630 8.321 91.59 91.59 63.31
Sites, in units of the cell vectors:
Rb1 0.000 0.000 0.000
Pu1 0.000 0.000 0.500
V1 0.359 0.359 0.712
V2 0.641 0.641 0.288
O1 0.210 0.709 0.677
O2 0.211 0.211 0.578
O3 0.291 0.790 0.323
O4 0.311 0.311 0.901
O5 0.689 0.689 0.099
O6 0.709 0.210 0.677
O7 0.789 0.789 0.422
O8 0.790 0.291 0.323

Top 8 peaks for 2θ from 10° to 90°, most intense first:
| two_theta | I/Imax |
| --- | --- |
| 10.64 | 100 |
| 17.63 | 97 |
| 27.60 | 93 |
| 20.48 | 78 |
| 31.85 | 67 |
| 18.52 | 66 |
| 28.08 | 62 |
| 21.71 | 44 |